No. 1
Diffraction record for LuCuTe2. The X-ray diffraction stick pattern is computed, not measured: it uses the GGA-PBE geometry in the Materials Project and λ = 1.5418 Å (Cu Kα).
Intensities are scaled so that the largest is 100.

Cell and atoms:
Cell: 4.2182 4.2182 6.6365 Å, 90.00 90.00 120.00°
Space group P-3m1 (No. 164)
Symmetry-distinct sites (fractional):
Lu 0.0000 0.0000 0.0000 [1 per cell]
Cu 0.0000 0.0000 0.5000 [1 per cell]
Te 0.3333 0.6667 0.2723 [2 per cell]

Top 12 peaks for 2θ = 5–70°, low angle first:
2θ = 13.34°, I 6; 2θ = 24.37°, I 15; 2θ = 27.88°, I 91; 2θ = 36.58°, I 100; 2θ = 42.88°, I 57; 2θ = 48.08°, I 14; 2θ = 51.92°, I 16; 2θ = 55.38°, I 8; 2θ = 57.60°, I 26; 2θ = 60.67°, I 7; 2θ = 66.37°, I 5; 2θ = 69.54°, I 14



No. 2
Diffraction record for TmLuCu2. The X-ray diffraction stick pattern is computed, not measured: it uses the GGA-PBE geometry in the Materials Project and λ = 1.5418 Å (Cu Kα).
Intensities are scaled so that the largest is 100.

Cell and atoms:
Cell: 6.8022 6.8022 6.8022 Å, 90.00 90.00 90.00°
Space group Fm-3m (No. 225)
Symmetry-distinct sites (fractional):
Tm 0.0000 0.0000 0.0000 [4 per cell]
Lu 0.0000 0.0000 0.5000 [4 per cell]
Cu 0.2500 0.2500 0.2500 [8 per cell]

Top 6 peaks for 2θ = 5–70°, low angle first:
2θ = 26.20°, I 22; 2θ = 37.39°, I 100; 2θ = 46.23°, I 7; 2θ = 53.92°, I 17; 2θ = 60.91°, I 9; 2θ = 67.45°, I 35



No. 3
Diffraction record for Lu2ZnCu. The X-ray diffraction stick pattern is computed, not measured: it uses the GGA-PBE geometry in the Materials Project and λ = 1.5418 Å (Cu Kα).
Intensities are scaled so that the largest is 100.

Cell and atoms:
Cell: 6.9035 6.9035 6.9035 Å, 90.00 90.00 90.00°
Space group Fm-3m (No. 225)
Symmetry-distinct sites (fractional):
Lu 0.2500 0.2500 0.2500 [8 per cell]
Zn 0.0000 0.0000 0.0000 [4 per cell]
Cu 0.0000 0.0000 0.5000 [4 per cell]

Top 6 peaks for 2θ = 5–70°, low angle first:
2θ = 25.81°, I 22; 2θ = 36.82°, I 100; 2θ = 45.52°, I 7; 2θ = 53.06°, I 17; 2θ = 59.92°, I 9; 2θ = 66.33°, I 35



No. 4
Diffraction record for Mg2Cu. The X-ray diffraction stick pattern is computed, not measured: it uses the GGA-PBE geometry in the Materials Project and λ = 1.5418 Å (Cu Kα).
Intensities are scaled so that the largest is 100.

Cell and atoms:
Cell: 9.0827 5.2527 6.4197 Å, 90.00 134.64 90.00°
Space group C2/m (No. 12)
Symmetry-distinct sites (fractional):
Mg 0.1698 0.0000 0.3353 [4 per cell]
Mg 0.1707 0.5000 0.0040 [4 per cell]
Cu 0.0000 0.2499 0.5000 [4 per cell]

Top 12 peaks for 2θ = 5–70°, low angle first:
2θ = 19.43°, I 75; 2θ = 19.55°, I 74; 2θ = 27.61°, I 17; 2θ = 27.79°, I 19; 2θ = 35.54°, I 30; 2θ = 39.46°, I 26; 2θ = 39.61°, I 100; 2θ = 39.69°, I 26; 2θ = 44.27°, I 24; 2θ = 44.47°, I 97; 2θ = 44.58°, I 47; 2θ = 44.69°, I 23



No. 5
Diffraction record for MgCu. The X-ray diffraction stick pattern is computed, not measured: it uses the GGA-PBE geometry in the Materials Project and λ = 1.5418 Å (Cu Kα).
Intensities are scaled so that the largest is 100.

Cell and atoms:
Cell: 4.4412 3.1856 4.4421 Å, 90.00 90.00 90.00°
Space group Pmma (No. 51)
Symmetry-distinct sites (fractional):
Mg 0.2500 0.0000 0.2488 [2 per cell]
Cu 0.2500 0.5000 0.7478 [2 per cell]

Top 10 peaks for 2θ = 5–70°, low angle first:
2θ = 28.01°, I 14; 2θ = 28.42°, I 27; 2θ = 40.33°, I 100; 2θ = 40.62°, I 49; 2θ = 50.07°, I 11; 2θ = 57.89°, I 8; 2θ = 58.80°, I 15; 2θ = 65.73°, I 4; 2θ = 66.37°, I 4; 2θ = 66.58°, I 4



No. 6
Diffraction record for Mg3Cu. The X-ray diffraction stick pattern is computed, not measured: it uses the GGA-PBE geometry in the Materials Project and λ = 1.5418 Å (Cu Kα).
Intensities are scaled so that the largest is 100.

Cell and atoms:
Cell: 3.2466 9.7580 4.8217 Å, 90.00 90.00 90.00°
Space group Imm2 (No. 44)
Symmetry-distinct sites (fractional):
Mg 0.0000 0.0000 0.0000 [2 per cell]
Mg 0.0000 0.2174 0.5253 [4 per cell]
Cu 0.0000 0.5000 0.9808 [2 per cell]

Top 12 peaks for 2θ = 5–70°, low angle first:
2θ = 18.18°, I 18; 2θ = 20.55°, I 35; 2θ = 33.26°, I 9; 2θ = 36.84°, I 24; 2θ = 37.30°, I 27; 2θ = 38.17°, I 100; 2θ = 39.21°, I 12; 2θ = 50.46°, I 16; 2θ = 53.43°, I 14; 2θ = 56.71°, I 8; 2θ = 67.25°, I 11; 2θ = 67.84°, I 15



No. 7
Diffraction record for Mg2Cu. The X-ray diffraction stick pattern is computed, not measured: it uses the GGA-PBE geometry in the Materials Project and λ = 1.5418 Å (Cu Kα).
Intensities are scaled so that the largest is 100.

Cell and atoms:
Cell: 5.2432 9.0474 18.3158 Å, 90.00 90.00 90.00°
Space group Fddd (No. 70, origin choice 2)
Symmetry-distinct sites (fractional):
Mg 0.1250 0.1250 0.0417 [16 per cell]
Mg 0.1250 0.2908 0.6250 [16 per cell]
Cu 0.1250 0.1250 0.4983 [16 per cell]

Top 12 peaks for 2θ = 5–70°, low angle first:
2θ = 19.39°, I 69; 2θ = 20.17°, I 61; 2θ = 24.45°, I 35; 2θ = 35.62°, I 13; 2θ = 37.42°, I 48; 2θ = 39.35°, I 24; 2θ = 39.76°, I 100; 2θ = 39.86°, I 23; 2θ = 42.48°, I 14; 2θ = 44.58°, I 88; 2θ = 44.69°, I 44; 2θ = 66.59°, I 14



No. 8
Diffraction record for Mg5Cu. The X-ray diffraction stick pattern is computed, not measured: it uses the GGA-PBE geometry in the Materials Project and λ = 1.5418 Å (Cu Kα).
Intensities are scaled so that the largest is 100.

Cell and atoms:
Cell: 5.3126 5.3126 4.8824 Å, 90.00 90.00 120.00°
Space group P-62m (No. 189)
Symmetry-distinct sites (fractional):
Mg 0.0000 0.3166 0.0000 [3 per cell]
Mg 0.3333 0.6667 0.5000 [2 per cell]
Cu 0.0000 0.0000 0.5000 [1 per cell]

Top 12 peaks for 2θ = 5–70°, low angle first:
2θ = 18.17°, I 7; 2θ = 19.29°, I 23; 2θ = 26.62°, I 14; 2θ = 33.74°, I 28; 2θ = 36.82°, I 25; 2θ = 38.59°, I 100; 2θ = 41.89°, I 6; 2θ = 43.49°, I 6; 2θ = 50.80°, I 16; 2θ = 56.15°, I 5; 2θ = 60.35°, I 17; 2θ = 67.49°, I 17